The following is a computed PXRD pattern of Dy5Sn4. It was derived from a cell relaxed with PBE, using copper Kα.
Neutral-atom scattering factors, no anomalous dispersion.

Cell and atoms:
a = 8.0342 Å, b = 15.4460 Å, c = 8.1497 Å
α = 90.00°, β = 90.00°, γ = 90.00°
Positions (direct):
Dy (0.0218, 0.0975, 0.1786)
Dy (0.0218, 0.4025, 0.1786)
Dy (0.1322, 0.6222, 0.3378)
Dy (0.1322, 0.8778, 0.3378)
Dy (0.1993, 0.2500, 0.5031)
Dy (0.3007, 0.7500, 0.0031)
Dy (0.3678, 0.1222, 0.8378)
Dy (0.3678, 0.3778, 0.8378)
Dy (0.4782, 0.5975, 0.6786)
Dy (0.4782, 0.9025, 0.6786)
Dy (0.5218, 0.0975, 0.3214)
Dy (0.5218, 0.4025, 0.3214)
Dy (0.6322, 0.6222, 0.1622)
Dy (0.6322, 0.8778, 0.1622)
Dy (0.6993, 0.2500, 0.9969)
Dy (0.8007, 0.7500, 0.4969)
Dy (0.8678, 0.1222, 0.6622)
Dy (0.8678, 0.3778, 0.6622)
Dy (0.9782, 0.5975, 0.8214)
Dy (0.9782, 0.9025, 0.8214)
Sn (0.0650, 0.2500, 0.8827)
Sn (0.1692, 0.7500, 0.6475)
Sn (0.2077, 0.0415, 0.5365)
Sn (0.2077, 0.4585, 0.5365)
Sn (0.2923, 0.5415, 0.0365)
Sn (0.2923, 0.9585, 0.0365)
Sn (0.3308, 0.2500, 0.1475)
Sn (0.4350, 0.7500, 0.3827)
Sn (0.5650, 0.2500, 0.6173)
Sn (0.6692, 0.7500, 0.8525)
Sn (0.7077, 0.0415, 0.9635)
Sn (0.7077, 0.4585, 0.9635)
Sn (0.7923, 0.5415, 0.4635)
Sn (0.7923, 0.9585, 0.4635)
Sn (0.8308, 0.2500, 0.3525)
Sn (0.9350, 0.7500, 0.1173)

Principal peaks in the range 2θ from 10° to 80°, low angle first:
d = 2.969 Å, I = 100.0; d = 2.952 Å, I = 55.0; d = 2.861 Å, I = 30.9; d = 2.803 Å, I = 39.5; d = 2.784 Å, I = 23.4; d = 2.718 Å, I = 30.2; d = 2.646 Å, I = 20.0; d = 2.634 Å, I = 53.8; d = 2.574 Å, I = 31.1; d = 2.541 Å, I = 98.9; d = 2.510 Å, I = 20.0; d = 1.710 Å, I = 17.6

---

The following is a computed PXRD pattern of Dy3Sn7. It was derived from a cell relaxed with PBE, using copper Kα.
Neutral-atom scattering factors, no anomalous dispersion.

Cell and atoms:
a = 13.0106 Å, b = 13.0106 Å, c = 4.5413 Å
α = 90.00°, β = 90.00°, γ = 160.14°
Positions (direct):
Dy (0.0000, 0.0000, 0.0000)
Dy (0.1869, 0.8131, 0.0000)
Dy (0.8131, 0.1869, 0.0000)
Sn (0.0966, 0.9034, 0.5000)
Sn (0.2902, 0.7098, 0.5000)
Sn (0.4041, 0.5959, 0.0000)
Sn (0.5000, 0.5000, 0.5000)
Sn (0.5959, 0.4041, 0.0000)
Sn (0.7098, 0.2902, 0.5000)
Sn (0.9034, 0.0966, 0.5000)

Principal peaks in the range 2θ from 10° to 80°, low angle first:
d = 3.112 Å, I = 3.4; d = 2.709 Å, I = 100.0; d = 2.563 Å, I = 17.7; d = 2.271 Å, I = 16.3; d = 2.243 Å, I = 15.7; d = 1.699 Å, I = 11.8; d = 1.688 Å, I = 10.3; d = 1.596 Å, I = 11.1; d = 1.506 Å, I = 10.2; d = 1.381 Å, I = 13.1; d = 1.369 Å, I = 12.8; d = 1.355 Å, I = 11.4

---

The following is a computed PXRD pattern of Dy11Sn10. It was derived from a cell relaxed with PBE, using copper Kα.
Neutral-atom scattering factors, no anomalous dispersion.

Cell and atoms:
a = 11.8259 Å, b = 11.8259 Å, c = 11.8259 Å
α = 121.15°, β = 121.15°, γ = 88.02°
Positions (direct):
Dy (0.0604, 0.3114, 0.7490)
Dy (0.1022, 0.4336, 0.3314)
Dy (0.1022, 0.7708, 0.6686)
Dy (0.1669, 0.1669, 0.0000)
Dy (0.2292, 0.8978, 0.3314)
Dy (0.3114, 0.0604, 0.7490)
Dy (0.3114, 0.5624, 0.2510)
Dy (0.3264, 0.3264, 0.6529)
Dy (0.3264, 0.6736, 0.0000)
Dy (0.4336, 0.1022, 0.3314)
Dy (0.4376, 0.6886, 0.7490)
Dy (0.5624, 0.3114, 0.2510)
Dy (0.5664, 0.8978, 0.6686)
Dy (0.6736, 0.3264, 0.0000)
Dy (0.6736, 0.6736, 0.3471)
Dy (0.6886, 0.4376, 0.7490)
Dy (0.6886, 0.9396, 0.2510)
Dy (0.7708, 0.1022, 0.6686)
Dy (0.8331, 0.8331, 0.0000)
Dy (0.8978, 0.2292, 0.3314)
Dy (0.8978, 0.5664, 0.6686)
Dy (0.9396, 0.6886, 0.2510)
Sn (0.0299, 0.0299, 0.4113)
Sn (0.0299, 0.6185, 0.0000)
Sn (0.1297, 0.1297, 0.2593)
Sn (0.1297, 0.8703, 0.0000)
Sn (0.1444, 0.5000, 0.6444)
Sn (0.2500, 0.7500, 0.5000)
Sn (0.3815, 0.3815, 0.4113)
Sn (0.3815, 0.9701, 0.0000)
Sn (0.3885, 0.3885, 0.0000)
Sn (0.5000, 0.1444, 0.6444)
Sn (0.5000, 0.8556, 0.3556)
Sn (0.6115, 0.6115, 0.0000)
Sn (0.6185, 0.0299, 0.0000)
Sn (0.6185, 0.6185, 0.5887)
Sn (0.7500, 0.2500, 0.5000)
Sn (0.8556, 0.5000, 0.3556)
Sn (0.8703, 0.1297, 0.0000)
Sn (0.8703, 0.8703, 0.7407)
Sn (0.9701, 0.3815, 0.0000)
Sn (0.9701, 0.9701, 0.5887)

Principal peaks in the range 2θ from 10° to 80°, low angle first:
d = 2.905 Å, I = 33.4; d = 2.846 Å, I = 88.7; d = 2.835 Å, I = 18.6; d = 2.802 Å, I = 100.0; d = 2.780 Å, I = 51.4; d = 2.749 Å, I = 53.7; d = 2.739 Å, I = 73.7; d = 2.607 Å, I = 23.7; d = 2.556 Å, I = 48.9; d = 2.150 Å, I = 23.8; d = 1.938 Å, I = 32.0; d = 1.445 Å, I = 36.2

---

The following is a computed PXRD pattern of Dy3SnTe2. It was derived from a cell relaxed with PBE, using copper Kα.
Neutral-atom scattering factors, no anomalous dispersion.

Cell and atoms:
a = 7.5766 Å, b = 7.5766 Å, c = 7.5766 Å
α = 146.25°, β = 131.96°, γ = 59.99°
Positions (direct):
Dy (0.0000, 0.0000, 0.0000)
Dy (0.3412, 0.3412, 0.0000)
Dy (0.6588, 0.6588, 0.0000)
Sn (0.5000, 0.0000, 0.5000)
Te (0.1691, 0.6691, 0.5000)
Te (0.8309, 0.3309, 0.5000)

Principal peaks in the range 2θ from 10° to 80°, low angle first:
d = 3.102 Å, I = 100.0; d = 3.084 Å, I = 49.7; d = 2.199 Å, I = 19.5; d = 2.187 Å, I = 94.4; d = 1.791 Å, I = 21.2; d = 1.784 Å, I = 19.8; d = 1.551 Å, I = 12.6; d = 1.390 Å, I = 9.3; d = 1.385 Å, I = 25.6; d = 1.381 Å, I = 17.5; d = 1.267 Å, I = 13.2; d = 1.263 Å, I = 18.7

---

The following is a computed PXRD pattern of DyZnSn. It was derived from a cell relaxed with PBE, using copper Kα.
Neutral-atom scattering factors, no anomalous dispersion.

Cell and atoms:
a = 4.5029 Å, b = 4.5029 Å, c = 15.8286 Å
α = 90.00°, β = 90.00°, γ = 120.00°
Positions (direct):
Dy (0.0000, 0.0000, 0.0000)
Dy (0.0000, 0.0000, 0.2500)
Dy (0.0000, 0.0000, 0.5000)
Dy (0.0000, 0.0000, 0.7500)
Zn (0.3333, 0.6667, 0.1607)
Zn (0.3333, 0.6667, 0.3393)
Zn (0.6667, 0.3333, 0.6607)
Zn (0.6667, 0.3333, 0.8393)
Sn (0.3333, 0.6667, 0.6132)
Sn (0.3333, 0.6667, 0.8868)
Sn (0.6667, 0.3333, 0.1132)
Sn (0.6667, 0.3333, 0.3868)

Principal peaks in the range 2θ from 10° to 80°, low angle first:
d = 3.900 Å, I = 8.3; d = 3.136 Å, I = 16.0; d = 2.778 Å, I = 100.0; d = 2.251 Å, I = 60.0; d = 1.979 Å, I = 6.6; d = 1.956 Å, I = 13.4; d = 1.764 Å, I = 6.2; d = 1.749 Å, I = 25.7; d = 1.486 Å, I = 16.0; d = 1.381 Å, I = 23.6; d = 1.300 Å, I = 10.4; d = 1.235 Å, I = 6.1

---

The following is a computed PXRD pattern of TbDy2Tl3. It was derived from a cell relaxed with PBE, using copper Kα.
Neutral-atom scattering factors, no anomalous dispersion.

Cell and atoms:
a = 3.6472 Å, b = 3.6472 Å, c = 12.2144 Å
α = 90.00°, β = 90.00°, γ = 90.00°
Positions (direct):
Tb (0.0000, 0.0000, 0.0000)
Dy (0.0000, 0.0000, 0.3337)
Dy (0.0000, 0.0000, 0.6663)
Tl (0.5000, 0.5000, 0.1676)
Tl (0.5000, 0.5000, 0.5000)
Tl (0.5000, 0.5000, 0.8324)

Principal peaks in the range 2θ from 10° to 80°, low angle first:
d = 4.071 Å, I = 0.8; d = 3.647 Å, I = 1.3; d = 2.717 Å, I = 100.0; d = 2.579 Å, I = 43.4; d = 2.179 Å, I = 0.7; d = 2.036 Å, I = 11.0; d = 1.824 Å, I = 15.7; d = 1.598 Å, I = 20.6; d = 1.514 Å, I = 34.5; d = 1.358 Å, I = 12.1; d = 1.289 Å, I = 5.1; d = 1.272 Å, I = 10.0

---

The following is a computed PXRD pattern of Dy3Te4. It was derived from a cell relaxed with PBE, using copper Kα.
Neutral-atom scattering factors, no anomalous dispersion.

Cell and atoms:
a = 7.2749 Å, b = 14.9894 Å, c = 4.3517 Å
α = 90.00°, β = 90.00°, γ = 90.00°
Positions (direct):
Dy (0.0000, 0.0000, 0.0000)
Dy (0.0101, 0.2497, 0.5000)
Dy (0.4899, 0.7497, 0.5000)
Dy (0.5000, 0.5000, 0.0000)
Dy (0.5101, 0.2503, 0.5000)
Dy (0.9899, 0.7503, 0.5000)
Te (0.2404, 0.6646, 0.0000)
Te (0.2405, 0.9157, 0.5000)
Te (0.2595, 0.4157, 0.5000)
Te (0.2596, 0.1646, 0.0000)
Te (0.7404, 0.8354, 0.0000)
Te (0.7405, 0.5843, 0.5000)
Te (0.7595, 0.0843, 0.5000)
Te (0.7596, 0.3354, 0.0000)

Principal peaks in the range 2θ from 10° to 80°, low angle first:
d = 7.495 Å, I = 9.8; d = 6.545 Å, I = 16.3; d = 3.763 Å, I = 9.4; d = 3.339 Å, I = 67.8; d = 2.614 Å, I = 100.0; d = 2.176 Å, I = 17.9; d = 2.167 Å, I = 35.3; d = 2.038 Å, I = 16.4; d = 1.820 Å, I = 17.4; d = 1.671 Å, I = 18.1; d = 1.393 Å, I = 19.7; d = 1.321 Å, I = 9.1

---

The following is a computed PXRD pattern of Dy5Tl4. It was derived from a cell relaxed with PBE, using copper Kα.
Neutral-atom scattering factors, no anomalous dispersion.

Cell and atoms:
a = 9.3013 Å, b = 9.3013 Å, c = 6.6776 Å
α = 90.00°, β = 90.00°, γ = 120.00°
Positions (direct):
Dy (0.0000, 0.2891, 0.2500)
Dy (0.0000, 0.7109, 0.7500)
Dy (0.2891, 0.0000, 0.2500)
Dy (0.2891, 0.2891, 0.7500)
Dy (0.3333, 0.6667, 0.0000)
Dy (0.3333, 0.6667, 0.5000)
Dy (0.6667, 0.3333, 0.0000)
Dy (0.6667, 0.3333, 0.5000)
Dy (0.7109, 0.0000, 0.7500)
Dy (0.7109, 0.7109, 0.2500)
Tl (0.0000, 0.0000, 0.0000)
Tl (0.0000, 0.0000, 0.5000)
Tl (0.0000, 0.3740, 0.7500)
Tl (0.0000, 0.6260, 0.2500)
Tl (0.3740, 0.0000, 0.7500)
Tl (0.3740, 0.3740, 0.2500)
Tl (0.6260, 0.0000, 0.2500)
Tl (0.6260, 0.6260, 0.7500)

Principal peaks in the range 2θ from 10° to 80°, low angle first:
d = 3.339 Å, I = 8.6; d = 2.770 Å, I = 31.5; d = 2.712 Å, I = 100.0; d = 2.685 Å, I = 89.0; d = 2.119 Å, I = 13.2; d = 1.908 Å, I = 29.3; d = 1.797 Å, I = 9.0; d = 1.669 Å, I = 9.7; d = 1.555 Å, I = 24.6; d = 1.550 Å, I = 9.2; d = 1.484 Å, I = 11.6; d = 1.418 Å, I = 25.4

---

The following is a computed PXRD pattern of DyTl3. It was derived from a cell relaxed with PBE, using copper Kα.
Neutral-atom scattering factors, no anomalous dispersion.

Cell and atoms:
a = 4.7419 Å, b = 4.7419 Å, c = 4.7419 Å
α = 90.00°, β = 90.00°, γ = 90.00°
Positions (direct):
Dy (0.0000, 0.0000, 0.0000)
Tl (0.0000, 0.5000, 0.5000)
Tl (0.5000, 0.0000, 0.5000)
Tl (0.5000, 0.5000, 0.0000)

Principal peaks in the range 2θ from 10° to 80°, low angle first:
d = 4.742 Å, I = 0.7; d = 3.353 Å, I = 0.7; d = 2.738 Å, I = 100.0; d = 2.371 Å, I = 50.5; d = 1.677 Å, I = 35.6; d = 1.430 Å, I = 42.1; d = 1.369 Å, I = 12.2

---

The following is a computed PXRD pattern of DyTmTl4. It was derived from a cell relaxed with PBE, using copper Kα.
Neutral-atom scattering factors, no anomalous dispersion.

Cell and atoms:
a = 4.6558 Å, b = 7.6344 Å, c = 7.6344 Å
α = 35.66°, β = 90.00°, γ = 90.00°
Positions (direct):
Dy (0.0000, 0.0000, 0.0000)
Tm (0.0000, 0.3106, 0.3106)
Tl (0.0000, 0.6556, 0.6556)
Tl (0.5000, 0.1556, 0.1556)
Tl (0.5000, 0.4789, 0.4789)
Tl (0.5000, 0.8316, 0.8316)

Principal peaks in the range 2θ from 10° to 80°, low angle first:
d = 2.727 Å, I = 100.0; d = 2.423 Å, I = 16.7; d = 2.338 Å, I = 16.8; d = 2.328 Å, I = 16.6; d = 1.693 Å, I = 2.4; d = 1.682 Å, I = 11.2; d = 1.679 Å, I = 11.1; d = 1.650 Å, I = 11.6; d = 1.451 Å, I = 12.1; d = 1.414 Å, I = 13.7; d = 1.409 Å, I = 13.5; d = 1.364 Å, I = 11.2

---

The following is a computed PXRD pattern of Dy2Tm. It was derived from a cell relaxed with PBE, using copper Kα.
Neutral-atom scattering factors, no anomalous dispersion.

Cell and atoms:
a = 7.8562 Å, b = 7.8562 Å, c = 4.9624 Å
α = 90.00°, β = 90.00°, γ = 143.21°
Positions (direct):
Dy (0.0828, 0.9172, 0.7500)
Dy (0.2495, 0.7505, 0.2500)
Dy (0.7505, 0.2495, 0.7500)
Dy (0.9172, 0.0828, 0.2500)
Tm (0.4169, 0.5831, 0.7500)
Tm (0.5831, 0.4169, 0.2500)

Principal peaks in the range 2θ from 10° to 80°, low angle first:
d = 2.866 Å, I = 100.0; d = 2.482 Å, I = 50.6; d = 1.755 Å, I = 35.9; d = 1.497 Å, I = 28.4; d = 1.496 Å, I = 14.2; d = 1.433 Å, I = 12.3; d = 1.242 Å, I = 1.9; d = 1.240 Å, I = 3.8

---

The following is a computed PXRD pattern of Dy3Tm5. It was derived from a cell relaxed with PBE, using copper Kα.
Neutral-atom scattering factors, no anomalous dispersion.

Cell and atoms:
a = 5.5420 Å, b = 7.1428 Å, c = 7.1428 Å
α = 59.99°, β = 90.00°, γ = 90.00°
Positions (direct):
Dy (0.0000, 0.0000, 0.0000)
Dy (0.0000, 0.4999, 0.4999)
Dy (0.5000, 0.1671, 0.1671)
Tm (0.0000, 0.0005, 0.5007)
Tm (0.0000, 0.5007, 0.0005)
Tm (0.5000, 0.1663, 0.6670)
Tm (0.5000, 0.6670, 0.1663)
Tm (0.5000, 0.6672, 0.6672)

Principal peaks in the range 2θ from 10° to 80°, low angle first:
d = 3.093 Å, I = 23.9; d = 2.771 Å, I = 23.8; d = 2.701 Å, I = 100.0; d = 2.064 Å, I = 15.5; d = 1.786 Å, I = 19.8; d = 1.586 Å, I = 20.3; d = 1.546 Å, I = 3.1; d = 1.501 Å, I = 22.5; d = 1.490 Å, I = 16.4; d = 1.386 Å, I = 2.9; d = 1.350 Å, I = 3.9; d = 1.264 Å, I = 3.2